Diffraction record for YTm5Sc3. The powder XRD pattern is theoretical, not measured: it uses the PBE geometry in Alexandria and Cu Ka.

Structural model:
```
YTm5Sc3
1.0
5.6977 -5.5727 0.0000
5.6977 5.5727 0.0000
-2.3260 0.0000 9.1581
Y Tm Sc
2 10 6
Direct
0.2271 0.2271 0.2234
0.7729 0.7729 0.7766
0.1257 0.6234 0.3504
0.2523 0.2523 0.9051
0.2573 0.7427 0.0000
0.2642 0.2642 0.5740
0.3766 0.8743 0.6496
0.6234 0.1257 0.3504
0.7358 0.7358 0.4260
0.7427 0.2573 0.0000
0.7477 0.7477 0.0949
0.8743 0.3766 0.6496
0.0000 0.0000 0.0000
0.0035 0.0035 0.3444
0.4919 0.4919 0.1739
0.5000 0.5000 0.5000
0.5081 0.5081 0.8261
0.9965 0.9965 0.6556
```

Principal peaks in the range 2θ = 10–90°, by intensity:
- 32.1°, intensity 100
- 27.2°, intensity 91
- 22.7°, intensity 85
- 36.3°, intensity 76
- 26.2°, intensity 71
- 33.5°, intensity 67